[1]
Diffraction record for Rb3SCl6. The powder diffractogram is computed, not measured: it uses a DFT-relaxed cell (GGA-PBE, Alexandria) and Cu Kα.
No peak broadening, texture or thermal motion is included.

Atomic structure:
```
data_Rb3SCl6
_chemical_formula_sum 'Rb6 S2 Cl12'
_cell_length_a 8.156
_cell_length_b 6.925
_cell_length_c 13.568
_cell_angle_alpha 90.00
_cell_angle_beta 117.14
_cell_angle_gamma 90.00
_symmetry_space_group_name_H-M 'P 1 21/c 1'
_symmetry_Int_Tables_number 14
_symmetry_space_group_name_Hall '-P 2ybc'
loop_
_atom_site_label
_atom_site_type_symbol
_atom_site_fract_x
_atom_site_fract_y
_atom_site_fract_z
Rb1 Rb 0.000 0.000 0.000
Rb2 Rb 0.262 0.033 0.774
S1 S 0.500 0.000 0.500
Cl1 Cl 0.169 0.525 0.765
Cl2 Cl 0.348 0.687 0.075
Cl3 Cl 0.377 0.225 0.038
```

Most intense lines, 2θ from 10° to 90°, sorted by position:
(hkl)	Position (°2θ)	I (rel.)
1 1 1	21.23	70.5
2 0 -2	22.09	26.9
1 1 -3	23.60	42.3
1 0 -4	26.30	29.5
2 0 -4	28.56	23.2
0 0 4	29.59	34.7
2 0 2	34.16	100.0
3 1 -1	36.77	23.3
0 2 4	39.59	27.2
3 1 -5	41.07	23.3

***

[2]
Diffraction record for Te4Au2F. The powder diffractogram is computed, not measured: it uses a DFT-relaxed cell (GGA-PBE, Alexandria) and Cu Kα.
No peak broadening, texture or thermal motion is included.

Atomic structure:
```
data_Te4Au2F
_chemical_formula_sum 'Te8 Au4 F2'
_cell_length_a 7.992
_cell_length_b 8.073
_cell_length_c 8.241
_cell_angle_alpha 118.92
_cell_angle_beta 102.28
_cell_angle_gamma 105.02
_symmetry_space_group_name_H-M 'P -1'
_symmetry_Int_Tables_number 2
_symmetry_space_group_name_Hall '-P 1'
loop_
_atom_site_label
_atom_site_type_symbol
_atom_site_fract_x
_atom_site_fract_y
_atom_site_fract_z
Te1 Te 0.134 0.320 0.455
Te2 Te 0.155 0.972 0.092
Te3 Te 0.315 0.579 0.252
Te4 Te 0.324 0.076 0.762
Au1 Au 0.000 0.000 0.500
Au2 Au 0.500 0.000 0.500
Au3 Au 0.500 0.500 0.000
Au4 Au 0.500 0.500 0.500
F1 F 0.231 0.730 0.927
```

Most intense lines, 2θ from 10° to 90°, sorted by position:
(hkl)	Position (°2θ)	I (rel.)
0 0 1	13.39	30.4
1 -1 0	14.20	59.2
0 2 0	27.83	100.0
1 -2 2	27.93	45.0
2 0 -2	28.66	54.3
-1 1 2	33.14	44.4
2 -2 2	35.32	25.5
2 2 -2	36.78	29.7
3 0 -2	36.92	25.7
2 2 -4	46.80	27.1